# 1
Diffraction record for NpF12. The powder diffraction line list is theoretical, not measured: it uses a structure optimized by DFT (PBE) and Cu Kα (λ = 1.5418 Å).

Cell and atoms:
```
data_NpF12
_chemical_formula_sum 'Np2 F24'
_symmetry_space_group_name_H-M 'I m -3'
_symmetry_Int_Tables_number 204
_symmetry_space_group_name_Hall '-I 2 2 3'
_cell_length_a 7.018
_cell_length_b 7.018
_cell_length_c 7.018
_cell_angle_alpha 90.00
_cell_angle_beta 90.00
_cell_angle_gamma 90.00
loop_
_atom_site_label
_atom_site_fract_x
_atom_site_fract_y
_atom_site_fract_z
Np1 0.000 0.000 0.000
F1 0.000 0.137 0.294
```

Most intense lines, 10° ≤ 2θ ≤ 90°, sorted by position:
(1 1 0), 17.87°, d = 4.963 Å, intensity 1000; (2 0 0), 25.38°, d = 3.509 Å, intensity 190; (2 1 1), 31.22°, d = 2.865 Å, intensity 258; (3 1 0), 40.65°, d = 2.219 Å, intensity 335; (3 2 1), 48.54°, d = 1.876 Å, intensity 365; (4 1 1), 55.55°, d = 1.654 Å, intensity 143; (4 2 0), 58.85°, d = 1.569 Å, intensity 76; (4 2 2), 65.11°, d = 1.433 Å, intensity 88; (4 1 3), 68.13°, d = 1.376 Å, intensity 141; (5 2 3), 85.24°, d = 1.138 Å, intensity 107

***

# 2
Diffraction record for CrInIrRu. The powder diffraction line list is theoretical, not measured: it uses a structure optimized by DFT (PBE) and Cu Kα (λ = 1.5418 Å).

Cell and atoms:
```
data_CrInIrRu
_chemical_formula_sum 'Cr4 In4 Ir4 Ru4'
_symmetry_space_group_name_H-M 'F -4 3 m'
_symmetry_Int_Tables_number 216
_symmetry_space_group_name_Hall 'F -4 2 3'
_cell_length_a 6.263
_cell_length_b 6.263
_cell_length_c 6.263
_cell_angle_alpha 90.00
_cell_angle_beta 90.00
_cell_angle_gamma 90.00
loop_
_atom_site_label
_atom_site_fract_x
_atom_site_fract_y
_atom_site_fract_z
Cr1 0.000 0.000 0.000
In1 0.000 0.000 0.500
Ir1 0.250 0.250 0.750
Ru1 0.250 0.250 0.250
```

Most intense lines, 10° ≤ 2θ ≤ 90°, sorted by position:
(1 1 1), 24.62°, d = 3.616 Å, intensity 127; (2 0 0), 28.51°, d = 3.131 Å, intensity 88; (2 2 0), 40.75°, d = 2.214 Å, intensity 1000; (3 1 1), 48.19°, d = 1.888 Å, intensity 68; (2 2 2), 50.48°, d = 1.808 Å, intensity 27; (4 0 0), 59.00°, d = 1.566 Å, intensity 165; (3 3 1), 64.90°, d = 1.437 Å, intensity 29; (4 2 0), 66.81°, d = 1.400 Å, intensity 37; (4 2 2), 74.18°, d = 1.278 Å, intensity 331; (4 4 0), 88.27°, d = 1.107 Å, intensity 108

***

# 3
Diffraction record for CdGe2PbSe6. The powder diffraction line list is theoretical, not measured: it uses a structure optimized by DFT (PBE) and Cu Kα (λ = 1.5418 Å).

Cell and atoms:
```
data_CdGe2PbSe6
_chemical_formula_sum 'Cd4 Ge8 Pb4 Se24'
_symmetry_space_group_name_H-M 'C 1 2/c 1'
_symmetry_Int_Tables_number 15
_cell_length_a 13.575
_cell_length_b 13.170
_cell_length_c 7.089
_cell_angle_alpha 90.00
_cell_angle_beta 108.69
_cell_angle_gamma 90.00
loop_
_symmetry_equiv_pos_as_xyz
'x,y,z'
'-x,-y,-z'
'-x,y,-z+1/2'
'x,-y,z+1/2'
'x+1/2,y+1/2,z'
'-x+1/2,-y+1/2,-z'
'-x+1/2,y+1/2,-z+1/2'
'x+1/2,-y+1/2,z+1/2'
loop_
_atom_site_label
_atom_site_fract_x
_atom_site_fract_y
_atom_site_fract_z
Cd1 0.000 0.240 0.250
Ge1 0.201 0.073 0.725
Pb1 0.000 0.381 0.750
Se1 0.114 0.424 0.189
Se2 0.127 0.064 0.997
Se3 0.142 0.238 0.598
```

Most intense lines, 10° ≤ 2θ ≤ 90°, sorted by position:
(2 2 -1), 20.75°, d = 4.280 Å, intensity 517; (3 1 0), 21.80°, d = 4.076 Å, intensity 594; (1 3 -1), 23.99°, d = 3.709 Å, intensity 749; (2 2 1), 25.86°, d = 3.445 Å, intensity 503; (3 3 -1), 29.10°, d = 3.068 Å, intensity 1000; (4 0 -2), 31.77°, d = 2.816 Å, intensity 380; (2 0 2), 33.83°, d = 2.649 Å, intensity 370; (2 2 -3), 40.58°, d = 2.223 Å, intensity 448; (0 6 0), 41.12°, d = 2.195 Å, intensity 321; (5 3 1), 46.52°, d = 1.952 Å, intensity 624

***

# 4
Diffraction record for KAlPb. The powder diffraction line list is theoretical, not measured: it uses a structure optimized by DFT (PBE) and Cu Kα (λ = 1.5418 Å).

Cell and atoms:
```
data_KAlPb
_chemical_formula_sum 'K2 Al2 Pb2'
_symmetry_space_group_name_H-M 'P m m m'
_symmetry_Int_Tables_number 47
_cell_length_a 4.762
_cell_length_b 5.604
_cell_length_c 8.252
_cell_angle_alpha 90.00
_cell_angle_beta 90.00
_cell_angle_gamma 90.00
loop_
_symmetry_equiv_pos_as_xyz
'x,y,z'
'-x,-y,-z'
'-x,-y,z'
'x,y,-z'
'x,-y,-z'
'-x,y,z'
'-x,y,-z'
'x,-y,z'
loop_
_atom_site_label
_atom_site_fract_x
_atom_site_fract_y
_atom_site_fract_z
K1 0.000 0.000 0.000
K2 0.500 0.000 0.500
Al1 0.000 0.500 0.343
Pb1 0.500 0.500 0.181
```

Most intense lines, 10° ≤ 2θ ≤ 90°, sorted by position:
(0 0 1), 10.72°, d = 8.252 Å, intensity 240; (0 1 0), 15.81°, d = 5.604 Å, intensity 809; (1 0 0), 18.63°, d = 4.762 Å, intensity 477; (1 1 0), 24.53°, d = 3.629 Å, intensity 509; (0 1 2), 26.83°, d = 3.322 Å, intensity 1000; (0 2 0), 31.94°, d = 2.802 Å, intensity 318; (1 1 2), 32.87°, d = 2.725 Å, intensity 239; (2 0 0), 37.77°, d = 2.382 Å, intensity 582; (2 1 0), 41.18°, d = 2.192 Å, intensity 454; (2 2 0), 50.28°, d = 1.815 Å, intensity 511

***

# 5
Diffraction record for Tb12Ho2Tl. The powder diffraction line list is theoretical, not measured: it uses a structure optimized by DFT (PBE) and Cu Kα (λ = 1.5418 Å).

Cell and atoms:
```
data_Tb12Ho2Tl
_chemical_formula_sum 'Tb48 Ho8 Tl4'
_symmetry_space_group_name_H-M 'C 1 2/m 1'
_symmetry_Int_Tables_number 12
_cell_length_a 7.166
_cell_length_b 11.252
_cell_length_c 23.943
_cell_angle_alpha 90.00
_cell_angle_beta 97.94
_cell_angle_gamma 90.00
loop_
_symmetry_equiv_pos_as_xyz
'x,y,z'
'-x,-y,-z'
'-x,y,-z'
'x,-y,z'
'x+1/2,y+1/2,z'
'-x+1/2,-y+1/2,-z'
'-x+1/2,y+1/2,-z'
'x+1/2,-y+1/2,z'
loop_
_atom_site_label
_atom_site_fract_x
_atom_site_fract_y
_atom_site_fract_z
Tb1 0.019 0.250 0.304
Tb2 0.043 0.000 0.373
Tb3 0.044 0.250 0.826
Tb4 0.044 0.500 0.373
Tb5 0.088 0.000 0.922
Tb6 0.090 0.500 0.923
Tb7 0.151 0.251 0.057
Tb8 0.168 0.250 0.568
Ho1 0.233 0.000 0.233
Ho2 0.233 0.500 0.233
Tl1 0.250 0.000 0.500
```

Most intense lines, 10° ≤ 2θ ≤ 90°, sorted by position:
(0 2 7), 30.81°, d = 2.902 Å, intensity 289; (2 0 4), 31.11°, d = 2.875 Å, intensity 147; (2 2 2), 31.59°, d = 2.832 Å, intensity 294; (0 4 0), 31.81°, d = 2.813 Å, intensity 1000; (2 2 3), 33.14°, d = 2.703 Å, intensity 77; (0 2 8), 34.19°, d = 2.622 Å, intensity 346; (2 4 4), 45.09°, d = 2.011 Å, intensity 107; (4 0 -2), 50.98°, d = 1.791 Å, intensity 80; (2 6 -4), 56.68°, d = 1.624 Å, intensity 163; (4 4 -2), 61.37°, d = 1.511 Å, intensity 103